Structure and simulated powder XRD pattern of Cs2PH4O2 (a GGA-PBE-relaxed structure; Cu Kα, 1.54184 Å).
Intensities are scaled so that the largest is 100.

Main lines, in order of rising 2θ (2θ from 10° to 80°):
2θ 17.93, d = 4.947 Å, intensity 79, (2 0 0); 2θ 20.07, d = 4.424 Å, intensity 33, (2 0 -1); 2θ 21.81, d = 4.075 Å, intensity 79, (1 1 -1); 2θ 26.24, d = 3.396 Å, intensity 100, (1 1 1); 2θ 29.09, d = 3.070 Å, intensity 57, (0 2 0); 2θ 30.37, d = 2.943 Å, intensity 54, (3 1 -1); 2θ 32.88, d = 2.724 Å, intensity 37, (2 0 -2); 2θ 34.38, d = 2.608 Å, intensity 70, (0 0 2); 2θ 44.46, d = 2.038 Å, intensity 42, (2 2 -2); 2θ 45.63, d = 1.988 Å, intensity 46, (4 0 1)

Cell and atoms:
Unit cell a=10.5286 b=6.1391 c=5.5539 alpha=90.00 beta=109.99 gamma=90.00
Space group C2/m (No. 12)
One atom of each set of equivalent atoms:
Cs1 0.2147 0.0000 0.2401 x4
P1 0.0000 0.5000 0.0000 x2
H1 0.0280 0.3233 0.8331 x8
O1 0.1611 0.5000 0.1827 x4